Record 1
For V2NiTe2O10, a cell relaxed with PBE+U gives the calculated X-ray powder pattern in this record (Cu Kα (weighted mean of Kα1 and Kα2)).
Lines closer than 0.1° are merged.

Top 6 peaks for 2θ from 10° to 90°, sorted by position:
h k l  two_theta  d [Å]  Rel. int.
1 0 1  20.39  4.355  61
1 -1 1  28.09  3.176  86
1 0 -1  28.79  3.101  100
1 1 2  30.02  2.976  55
0 1 -2  32.30  2.772  66
0 2 1  32.69  2.739  56

Structure:
Unit cell a=4.8801 b=6.4276 c=6.6148 alpha=84.69 beta=69.08 gamma=73.08
Atoms (fractional coordinates):
V: 0.1469 0.1112 0.1270
V: 0.8531 0.8888 0.8730
Ni: 0.5000 0.0000 0.5000
Te: 0.2182 0.5941 0.2805
Te: 0.7818 0.4059 0.7195
O: 0.0947 0.8246 0.0750
O: 0.1535 0.8461 0.6377
O: 0.2064 0.3335 0.5370
O: 0.2217 0.3844 0.0880
O: 0.4598 0.9699 0.2057
O: 0.5402 0.0301 0.7943
O: 0.7783 0.6156 0.9120
O: 0.7936 0.6665 0.4630
O: 0.8465 0.1539 0.3623
O: 0.9053 0.1754 0.9250

***

Record 2
For Ca3La5Mn7CrO24, a cell relaxed with PBE+U gives the calculated X-ray powder pattern in this record (Cu Kα (weighted mean of Kα1 and Kα2)).
Lines closer than 0.1° are merged.

Top 6 peaks for 2θ from 10° to 90°, sorted by position:
h k l  two_theta  d [Å]  Rel. int.
0 1 -2  19.72  4.501  28
1 2 -2  32.44  2.760  97
-1 2 2  32.52  2.753  100
2 0 -4  46.50  1.953  43
-1 2 6  57.88  1.593  52
2 -4 0  58.08  1.588  28

Structure:
Unit cell a=5.5222 b=7.7641 c=11.0519 alpha=90.07 beta=90.04 gamma=90.02
Atoms (fractional coordinates):
Ca: 0.0000 0.0000 0.0000
Ca: 0.0018 0.9971 0.4966
Ca: 0.5671 0.4985 0.2485
La: 0.0540 0.5004 0.9954
La: 0.0591 0.4971 0.4852
La: 0.5094 0.9973 0.7400
La: 0.5096 0.9991 0.2388
La: 0.5577 0.4985 0.7464
Mn: 0.0339 0.2446 0.7432
Mn: 0.0340 0.2473 0.2434
Mn: 0.0339 0.7505 0.2438
Mn: 0.5322 0.2491 0.9956
Mn: 0.5325 0.7509 0.9948
Mn: 0.5344 0.2450 0.4907
Mn: 0.5345 0.7489 0.4911
Cr: 0.0340 0.7514 0.7427
O: 0.0174 0.5006 0.2106
O: 0.0245 0.4942 0.7040
O: 0.0472 0.9970 0.2821
O: 0.0490 0.0023 0.7862
O: 0.2545 0.2068 0.1046
O: 0.2595 0.7907 0.1020
O: 0.2594 0.7915 0.6030
O: 0.2613 0.2068 0.6061
O: 0.3074 0.2909 0.8567
O: 0.3112 0.7061 0.8560
O: 0.3122 0.2894 0.3539
O: 0.3168 0.7062 0.3567
O: 0.5191 0.4996 0.0326
O: 0.5241 0.4990 0.5294
O: 0.5521 0.9963 0.4551
O: 0.5516 0.9982 0.9571
O: 0.7533 0.7874 0.6307
O: 0.7571 0.7876 0.1267
O: 0.7594 0.2102 0.1290
O: 0.7599 0.2090 0.6309
O: 0.8015 0.2917 0.8789
O: 0.8029 0.7036 0.8794
O: 0.8046 0.7097 0.3827
O: 0.8095 0.2860 0.3789

***

Record 3
For FeSb3P4O16, a cell relaxed with PBE+U gives the calculated X-ray powder pattern in this record (Cu Kα (weighted mean of Kα1 and Kα2)).
Lines closer than 0.1° are merged.

Top 6 peaks for 2θ from 10° to 90°, sorted by position:
h k l  two_theta  d [Å]  Rel. int.
0 0 2  17.34  5.113  90
1 1 -1  23.33  3.813  73
1 1 1  23.99  3.710  76
0 2 0  25.72  3.464  100
1 1 -3  33.71  2.659  55
1 1 3  35.11  2.556  45

Structure:
Unit cell a=4.9852 b=6.9282 c=10.2379 alpha=90.00 beta=92.83 gamma=90.00
Atoms (fractional coordinates):
Fe: 0.0000 0.0000 0.0000
Sb: 0.4229 0.0000 0.4916
Sb: 0.5143 0.5000 0.0521
Sb: 0.9233 0.5000 0.5500
P: 0.0692 0.5000 0.8684
P: 0.3377 0.5000 0.3599
P: 0.5911 0.0000 0.1603
P: 0.8791 0.0000 0.6819
O: 0.1694 0.5000 0.7281
O: 0.1811 0.0000 0.6631
O: 0.2050 0.3243 0.9475
O: 0.2050 0.6757 0.9475
O: 0.2153 0.3271 0.4422
O: 0.2153 0.6729 0.4422
O: 0.2295 0.5000 0.2171
O: 0.2858 0.0000 0.1283
O: 0.6440 0.5000 0.3662
O: 0.6541 0.0000 0.3072
O: 0.7274 0.1729 0.6087
O: 0.7274 0.8271 0.6087
O: 0.7305 0.1730 0.0898
O: 0.7305 0.8270 0.0898
O: 0.7628 0.5000 0.8697
O: 0.8338 0.0000 0.8291

***

Record 4
For Mn3TeO8, a cell relaxed with PBE+U gives the calculated X-ray powder pattern in this record (Cu Kα (weighted mean of Kα1 and Kα2)).
Lines closer than 0.1° are merged.

Top 6 peaks for 2θ from 10° to 90°, sorted by position:
h k l  two_theta  d [Å]  Rel. int.
1 0 1  19.59  4.532  100
1 0 2  25.71  3.465  32
1 0 3  33.64  2.664  31
1 1 2  35.64  2.519  39
2 0 1  35.94  2.499  27
2 0 3  45.57  1.991  24

Structure:
Unit cell a=5.9909 b=5.9909 c=9.3129 alpha=90.00 beta=90.00 gamma=120.00
Atoms (fractional coordinates):
Mn: 0.1683 0.3366 0.0000
Mn: 0.1683 0.8317 0.0000
Mn: 0.3366 0.1683 0.5000
Mn: 0.6634 0.8317 0.0000
Mn: 0.8317 0.1683 0.5000
Mn: 0.8317 0.6634 0.5000
Te: 0.3333 0.6667 0.2763
Te: 0.6667 0.3333 0.7763
O: 0.0000 0.0000 0.0888
O: 0.0000 0.0000 0.5888
O: 0.0406 0.5203 0.1395
O: 0.1748 0.3496 0.3881
O: 0.1748 0.8252 0.3881
O: 0.3333 0.6667 0.9063
O: 0.3496 0.1748 0.8881
O: 0.4797 0.5203 0.1395
O: 0.4797 0.9594 0.1395
O: 0.5203 0.0406 0.6395
O: 0.5203 0.4797 0.6395
O: 0.6504 0.8252 0.3881
O: 0.6667 0.3333 0.4063
O: 0.8252 0.1748 0.8881
O: 0.8252 0.6504 0.8881
O: 0.9594 0.4797 0.6395

***

Which formula does entry 1 have?
V2NiTe2O10

***

What did the fourth record say?
For Mn3TeO8, a cell relaxed with PBE+U gives the calculated X-ray powder pattern in this record (Cu Kα (weighted mean of Kα1 and Kα2)).
Lines closer than 0.1° are merged.

Top 6 peaks for 2θ from 10° to 90°, sorted by position:
h k l  two_theta  d [Å]  Rel. int.
1 0 1  19.59  4.532  100
1 0 2  25.71  3.465  32
1 0 3  33.64  2.664  31
1 1 2  35.64  2.519  39
2 0 1  35.94  2.499  27
2 0 3  45.57  1.991  24

Structure:
Unit cell a=5.9909 b=5.9909 c=9.3129 alpha=90.00 beta=90.00 gamma=120.00
Atoms (fractional coordinates):
Mn: 0.1683 0.3366 0.0000
Mn: 0.1683 0.8317 0.0000
Mn: 0.3366 0.1683 0.5000
Mn: 0.6634 0.8317 0.0000
Mn: 0.8317 0.1683 0.5000
Mn: 0.8317 0.6634 0.5000
Te: 0.3333 0.6667 0.2763
Te: 0.6667 0.3333 0.7763
O: 0.0000 0.0000 0.0888
O: 0.0000 0.0000 0.5888
O: 0.0406 0.5203 0.1395
O: 0.1748 0.3496 0.3881
O: 0.1748 0.8252 0.3881
O: 0.3333 0.6667 0.9063
O: 0.3496 0.1748 0.8881
O: 0.4797 0.5203 0.1395
O: 0.4797 0.9594 0.1395
O: 0.5203 0.0406 0.6395
O: 0.5203 0.4797 0.6395
O: 0.6504 0.8252 0.3881
O: 0.6667 0.3333 0.4063
O: 0.8252 0.1748 0.8881
O: 0.8252 0.6504 0.8881
O: 0.9594 0.4797 0.6395